# AcNd6Sm6
Calculated powder diffraction line list, Cu Ka. Input: a structure optimized by DFT (GGA-PBE).

Largest 12 diffraction maxima, low angle first, 10 to 90 degrees two-theta:
| d (Å) | 2theta | I_rel | (hkl) |
| --- | --- | --- | --- |
| 3.404 | 26.18 | 27 | 1 1 0 |
| 3.255 | 27.40 | 18 | 1 0 3 |
| 2.945 | 30.36 | 100 | 2 0 0 |
| 2.928 | 30.53 | 20 | 0 0 4 |
| 2.633 | 34.05 | 47 | 2 0 2 |
| 2.622 | 34.19 | 17 | 1 0 4 |
| 1.863 | 48.89 | 17 | 3 0 2 |
| 1.702 | 53.87 | 24 | 2 2 0 |
| 1.693 | 54.17 | 20 | 1 1 6 |
| 1.471 | 63.20 | 15 | 2 2 4 |
| 1.429 | 65.32 | 12 | 4 0 2 |
| 1.110 | 87.99 | 11 | 2 2 8 |

Structure:
Cell: 6.8073 6.8073 11.7119 Å, 90.00 90.00 120.00°
Space group P6/mmm (No. 191)
One atom of each set of equivalent atoms:
Ac (0.0000, 0.0000, 0.0000)
Nd (0.0000, 0.0000, 0.3554)
Nd (0.3333, 0.6667, 0.0000)
Nd (0.3333, 0.6667, 0.5000)
Sm (0.0000, 0.5000, 0.2512)

# PaH5Ru
Calculated powder diffraction line list, Cu Ka. Input: a structure optimized by DFT (GGA-PBE).

Largest 12 diffraction maxima, low angle first, 10 to 90 degrees two-theta:
| d (Å) | 2theta | I_rel | (hkl) |
| --- | --- | --- | --- |
| 3.658 | 24.34 | 22 | 0 1 1 |
| 3.407 | 26.15 | 18 | 1 0 1 |
| 3.170 | 28.15 | 58 | 0 0 2 |
| 3.000 | 29.78 | 100 | 1 1 0 |
| 2.239 | 40.28 | 22 | 0 2 0 |
| 2.179 | 41.44 | 84 | 1 1 2 |
| 2.020 | 44.87 | 17 | 2 0 0 |
| 1.829 | 49.87 | 25 | 0 2 2 |
| 1.704 | 53.81 | 20 | 2 0 2 |
| 1.401 | 66.77 | 31 | 1 3 0 |
| 1.356 | 69.31 | 19 | 2 2 2 |
| 1.281 | 74.02 | 15 | 1 3 2 |

Structure:
Cell: 4.040 4.478 6.341 Å, 90.00 90.00 90.00°
Space group Immm (No. 71)
One atom of each set of equivalent atoms:
Pa (0.000, 0.000, 0.000)
H (0.000, 0.287, 0.322)
H (0.000, 0.500, 0.000)
Ru (0.000, 0.000, 0.500)

# Tb2PmNdTh
Calculated powder diffraction line list, Cu Ka. Input: a structure optimized by DFT (GGA-PBE).

Largest 12 diffraction maxima, low angle first, 10 to 90 degrees two-theta:
| d (Å) | 2theta | I_rel | (hkl) |
| --- | --- | --- | --- |
| 3.165 | 28.20 | 15 | 2 0 -1 |
| 3.157 | 28.27 | 8 | 1 0 -3 |
| 2.912 | 30.70 | 26 | 0 2 0 |
| 2.779 | 32.21 | 100 | 1 1 2 |
| 2.142 | 42.19 | 16 | 1 2 -3 |
| 1.829 | 49.86 | 7 | 3 0 1 |
| 1.826 | 49.95 | 6 | 0 0 5 |
| 1.822 | 50.06 | 6 | 3 0 -4 |
| 1.654 | 55.54 | 22 | 1 3 2 |
| 1.548 | 59.74 | 15 | 0 2 5 |
| 1.545 | 59.87 | 8 | 3 2 -4 |
| 1.525 | 60.75 | 11 | 2 1 -6 |

Structure:
Cell: 6.323 5.824 9.649 Å, 90.00 108.89 90.00°
Space group P2_1/m (No. 11)
One atom of each set of equivalent atoms:
Tb (0.128, 0.250, 0.094)
Tb (0.337, 0.250, 0.495)
Pm (0.469, 0.750, 0.106)
Nd (0.248, 0.750, 0.691)
Th (0.079, 0.750, 0.296)

# SmGdMn2
Calculated powder diffraction line list, Cu Ka. Input: a structure optimized by DFT (GGA-PBE).

Largest 12 diffraction maxima, low angle first, 10 to 90 degrees two-theta:
| d (Å) | 2theta | I_rel | (hkl) |
| --- | --- | --- | --- |
| 3.598 | 24.75 | 13 | 0 0 1 |
| 3.562 | 25.00 | 26 | 1 1 0 |
| 2.531 | 35.46 | 100 | 1 1 1 |
| 2.519 | 35.65 | 49 | 2 0 0 |
| 2.063 | 43.88 | 12 | 2 0 1 |
| 1.799 | 50.75 | 9 | 0 0 2 |
| 1.781 | 51.30 | 17 | 2 2 0 |
| 1.464 | 63.56 | 18 | 2 0 2 |
| 1.457 | 63.91 | 35 | 3 1 1 |
| 1.266 | 75.05 | 11 | 2 2 2 |
| 1.137 | 85.42 | 8 | 1 1 3 |
| 1.128 | 86.27 | 8 | 3 3 1 |

Structure:
Cell: 5.038 5.038 3.598 Å, 90.00 90.00 90.00°
Space group P4/mmm (No. 123)
One atom of each set of equivalent atoms:
Sm (0.000, 0.000, 0.000)
Gd (0.500, 0.500, 0.000)
Mn (0.000, 0.500, 0.500)

# TaAl
Calculated powder diffraction line list, Cu Ka. Input: a structure optimized by DFT (GGA-PBE).

Largest 12 diffraction maxima, low angle first, 10 to 90 degrees two-theta:
| d (Å) | 2theta | I_rel | (hkl) |
| --- | --- | --- | --- |
| 5.813 | 15.24 | 90 | 0 0 1 |
| 2.979 | 30.00 | 50 | 1 0 1 |
| 2.453 | 36.64 | 68 | 1 1 0 |
| 2.260 | 39.89 | 35 | 1 1 1 |
| 2.228 | 40.49 | 100 | 1 0 2 |
| 1.734 | 52.78 | 24 | 2 0 0 |
| 1.692 | 54.22 | 19 | 1 0 3 |
| 1.662 | 55.28 | 14 | 2 0 1 |
| 1.499 | 61.91 | 13 | 2 1 1 |
| 1.368 | 68.57 | 43 | 2 1 2 |
| 1.250 | 76.14 | 15 | 1 1 4 |
| 1.211 | 79.08 | 13 | 2 1 3 |

Structure:
Cell: 3.469 3.469 5.813 Å, 90.00 90.00 90.00°
Space group P4/nmm (No. 129, origin choice 2)
One atom of each set of equivalent atoms:
Ta (0.250, 0.250, 0.111)
Al (0.250, 0.250, 0.621)

# Pr2PPt3
Calculated powder diffraction line list, Cu Ka. Input: a structure optimized by DFT (GGA-PBE).

Largest 12 diffraction maxima, low angle first, 10 to 90 degrees two-theta:
| d (Å) | 2theta | I_rel | (hkl) |
| --- | --- | --- | --- |
| 3.994 | 22.26 | 18 | 1 0 0 |
| 2.850 | 31.38 | 12 | 0 1 2 |
| 2.760 | 32.44 | 42 | 1 0 2 |
| 2.729 | 32.82 | 100 | 1 1 1 |
| 2.320 | 38.81 | 15 | 1 1 2 |
| 2.188 | 41.26 | 48 | 0 1 3 |
| 2.144 | 42.16 | 33 | 0 2 0 |
| 1.997 | 45.41 | 22 | 2 0 0 |
| 1.722 | 53.19 | 11 | 1 0 4 |
| 1.693 | 54.19 | 20 | 1 2 2 |
| 1.475 | 63.02 | 28 | 2 1 3 |
| 1.461 | 63.69 | 16 | 2 2 0 |

Structure:
Cell: 3.994 4.286 7.634 Å, 90.00 90.00 90.00°
Space group Pmm2 (No. 25)
One atom of each set of equivalent atoms:
Pr (0.000, 0.000, 0.000)
Pr (0.000, 0.500, 0.498)
P (0.500, 0.500, 0.815)
Pt (0.500, 0.000, 0.335)
Pt (0.500, 0.000, 0.689)
Pt (0.500, 0.500, 0.126)